PmPSe4: computed powder XRD pattern (Cu Ka), based on a structure optimized by DFT (GGA-PBE).
Peak positions follow from Bragg's law for the DFT cell and can differ from measured ones.

Structural model:
```
12
Lattice="6.694 0.000 0.000 0.000 6.694 0.000 0.000 0.000 7.391" Properties=species:S:1:pos:R:3 pbc="T T T"
Pm 0.000 0.000 0.000
Pm 3.347 3.347 3.696
P 0.000 3.347 5.544
P 3.347 0.000 1.848
Se 1.031 5.061 4.505
Se 1.633 1.031 2.886
Se 1.714 2.316 6.582
Se 2.316 4.980 0.809
Se 4.378 1.714 0.809
Se 4.980 4.378 6.582
Se 5.061 5.663 2.886
Se 5.663 1.633 4.505
```

Peak list (12 most intense, 15° ≤ 2θ ≤ 90°, sorted by position)
2θ/deg	intensity
17.88	393
18.75	198
30.69	806
32.26	1000
38.02	193
38.95	167
42.31	276
47.81	216
49.63	167
50.70	148
56.92	199
62.65	169



Pm5PSe4: computed powder XRD pattern (Cu Ka), based on a structure optimized by DFT (GGA-PBE).
Peak positions follow from Bragg's law for the DFT cell and can differ from measured ones.

Structural model:
```
10
Lattice="-2.087 2.087 14.879 2.087 -2.087 14.879 2.087 2.087 -14.879" Properties=species:S:1:pos:R:3 pbc="T T T"
Pm 0.000 0.000 0.000
Pm 0.000 0.000 6.046
Pm 0.000 0.000 12.078
Pm 0.000 0.000 17.680
Pm 0.000 0.000 23.713
P 0.000 0.000 14.879
Se 0.000 0.000 3.014
Se 0.000 0.000 9.019
Se 0.000 0.000 20.739
Se 0.000 0.000 26.745
```

Peak list (12 most intense, 15° ≤ 2θ ≤ 90°, sorted by position)
2θ/deg	intensity
26.07	350
30.03	498
30.28	1000
43.17	712
43.35	372
51.29	116
53.63	381
62.98	122
70.93	137
71.33	161
71.46	167
79.42	238



Pm6TeP3Se2: computed powder XRD pattern (Cu Ka), based on a structure optimized by DFT (GGA-PBE).
Peak positions follow from Bragg's law for the DFT cell and can differ from measured ones.

Structural model:
```
12
Lattice="9.253 -2.088 0.000 9.253 2.088 0.000 -2.193 0.000 8.225" Properties=species:S:1:pos:R:3 pbc="T T T"
Pm -0.419 0.000 1.874
Pm 5.073 0.000 3.506
Pm 4.260 0.000 7.454
Pm 12.052 0.000 0.771
Pm 11.240 0.000 4.719
Pm 16.732 0.000 6.350
Te 8.156 0.000 4.112
P 2.339 0.000 2.727
P 9.253 0.000 0.000
P 13.974 0.000 5.497
Se 1.270 0.000 6.855
Se 15.043 0.000 1.370
```

Peak list (12 most intense, 15° ≤ 2θ ≤ 90°, sorted by position)
2θ/deg	intensity
25.37	68
26.06	228
29.98	1000
32.64	94
42.47	346
43.35	372
53.61	191
59.33	68
62.31	109
70.04	130
71.31	161
78.91	74



PmSm4P5: computed powder XRD pattern (Cu Ka), based on a structure optimized by DFT (GGA-PBE).
Peak positions follow from Bragg's law for the DFT cell and can differ from measured ones.

Structural model:
```
10
Lattice="-2.058 2.906 10.278 2.058 -2.906 10.278 2.058 2.906 -10.278" Properties=species:S:1:pos:R:3 pbc="T T T"
Pm 0.000 0.000 0.000
Sm 0.000 0.000 4.116
Sm 0.000 0.000 8.220
Sm 0.000 0.000 12.337
Sm 0.000 0.000 16.441
P 2.058 0.000 2.067
P 2.058 0.000 6.168
P 0.000 2.906 0.000
P 0.000 2.906 4.110
P 0.000 2.906 8.212
```

Peak list (12 most intense, 15° ≤ 2θ ≤ 90°, sorted by position)
2θ/deg	intensity
26.55	818
30.75	1000
44.04	733
52.16	404
54.67	257
64.05	119
70.60	163
72.70	220
72.76	110
81.00	248
87.05	95
87.14	32